Simulated PXRD pattern
Compound: Nb3SbP6O24
Radiation: Cu Kα (weighted mean of Kα1 and Kα2)
Structure: DFT lattice parameters and positions (PBE)

Principal peaks in the range 10 to 90 degrees two-theta, in order of rising 2θ:
hkl 0 1 2, 2θ 13.9, rel. 40; hkl 1 0 4, 2θ 19.5, rel. 100; hkl 1 1 0, 2θ 19.9, rel. 68; hkl 2 -1 3, 2θ 23.2, rel. 64; hkl 0 2 4, 2θ 28.0, rel. 63; hkl 1 1 6, 2θ 31.1, rel. 41; hkl 3 -1 4, 2θ 34.6, rel. 31; hkl 3 0 0, 2θ 34.8, rel. 27; hkl 2 1 10, 2θ 51.1, rel. 24; hkl 1 4 0, 2θ 54.4, rel. 21

Crystal structure
```
data_Nb3SbP6O24
_symmetry_space_group_name_H-M 'R 3'
_symmetry_Int_Tables_number 146
_symmetry_space_group_name_Hall 'R 3'
_cell_length_a 8.9255
_cell_length_b 8.9255
_cell_length_c 22.6077
_cell_angle_alpha 90.00
_cell_angle_beta 90.00
_cell_angle_gamma 120.00
loop_
_atom_site_label
_atom_site_fract_x
_atom_site_fract_y
_atom_site_fract_z
Nb1 0.0000 0.0000 0.0000
Nb2 0.0000 0.0000 0.2168
Nb3 0.0000 0.0000 0.7160
Sb1 0.0000 0.0000 0.4975
P1 0.0448 0.3766 0.2750
P2 0.0546 0.6730 0.7734
O1 0.0027 0.8238 0.0524
O2 0.0273 0.1935 0.2677
O3 0.0386 0.2274 0.5519
O4 0.0407 0.8407 0.7657
O5 0.1508 0.4743 0.6212
O6 0.1522 0.6965 0.1064
O7 0.1633 0.6934 0.8300
O8 0.1638 0.4686 0.3291
```



Simulated PXRD pattern
Compound: NbSb3P6O24
Radiation: Cu Kα (weighted mean of Kα1 and Kα2)
Structure: DFT lattice parameters and positions (PBE)

Principal peaks in the range 10 to 90 degrees two-theta, in order of rising 2θ:
hkl 0 1 2, 2θ 14.0, rel. 37; hkl 1 0 4, 2θ 19.6, rel. 100; hkl 1 1 0, 2θ 20.1, rel. 73; hkl 1 1 3, 2θ 23.4, rel. 52; hkl 0 2 4, 2θ 28.2, rel. 62; hkl 2 -1 6, 2θ 31.2, rel. 51; hkl 2 1 4, 2θ 34.9, rel. 31; hkl 3 0 0, 2θ 35.2, rel. 28; hkl 3 -1 10, 2θ 51.4, rel. 22; hkl 4 1 0, 2θ 55.0, rel. 20

Crystal structure
```
data_NbSb3P6O24
_symmetry_space_group_name_H-M 'R 3'
_symmetry_Int_Tables_number 146
_symmetry_space_group_name_Hall 'R 3'
_cell_length_a 8.8403
_cell_length_b 8.8403
_cell_length_c 22.5340
_cell_angle_alpha 90.00
_cell_angle_beta 90.00
_cell_angle_gamma 120.00
loop_
_atom_site_label
_atom_site_fract_x
_atom_site_fract_y
_atom_site_fract_z
Nb1 0.0000 0.0000 0.0000
Sb1 0.0000 0.0000 0.2140
Sb2 0.0000 0.0000 0.5005
Sb3 0.0000 0.0000 0.7151
P1 0.0006 0.2885 0.1079
P2 0.0458 0.6686 0.2748
O1 0.0212 0.1943 0.0533
O2 0.0249 0.8321 0.2699
O3 0.0258 0.1950 0.7700
O4 0.0333 0.8206 0.5520
O5 0.1527 0.4568 0.8320
O6 0.1560 0.6984 0.3313
O7 0.1632 0.6922 0.6172
O8 0.1675 0.4690 0.1109
```



Simulated PXRD pattern
Compound: Sr4Nb3PO14
Radiation: Cu Kα (weighted mean of Kα1 and Kα2)
Structure: DFT lattice parameters and positions (PBE)

Principal peaks in the range 10 to 90 degrees two-theta, in order of rising 2θ:
hkl 0 0 4, 2θ 27.1, rel. 100; hkl 1 -1 1, 2θ 28.3, rel. 53; hkl 1 1 -2, 2θ 28.4, rel. 43; hkl 1 1 1, 2θ 29.1, rel. 92; hkl 0 2 0, 2θ 31.0, rel. 56; hkl 1 -1 2, 2θ 31.2, rel. 27; hkl 1 1 -3, 2θ 31.3, rel. 56; hkl 1 1 2, 2θ 32.4, rel. 58; hkl 0 2 -4, 2θ 40.2, rel. 31; hkl 2 0 -1, 2θ 44.5, rel. 63

Crystal structure
```
data_Sr4Nb3PO14
_symmetry_space_group_name_H-M 'P 1'
_symmetry_Int_Tables_number 1
_symmetry_space_group_name_Hall 'P 1'
_cell_length_a 4.070
_cell_length_b 5.788
_cell_length_c 13.324
_cell_angle_alpha 93.72
_cell_angle_beta 98.46
_cell_angle_gamma 90.18
loop_
_atom_site_label
_atom_site_fract_x
_atom_site_fract_y
_atom_site_fract_z
Sr1 0.000 0.000 0.000
Sr2 0.111 0.521 0.228
Sr3 0.279 0.121 0.552
Sr4 0.851 0.633 0.734
Nb1 0.504 0.495 0.002
Nb2 0.611 0.023 0.232
Nb3 0.725 0.582 0.451
P1 0.294 0.125 0.789
O1 0.011 0.461 0.016
O2 0.105 0.998 0.213
O3 0.211 0.552 0.429
O4 0.336 0.342 0.730
O5 0.374 0.912 0.720
O6 0.447 0.673 0.893
O7 0.471 0.174 0.906
O8 0.553 0.753 0.102
O9 0.560 0.242 0.120
O10 0.650 0.735 0.306
O11 0.664 0.258 0.335
O12 0.766 0.857 0.530
O13 0.774 0.378 0.557
O14 0.940 0.080 0.809
```



Simulated PXRD pattern
Compound: Sr4Nb3PO14
Radiation: Cu Kα (weighted mean of Kα1 and Kα2)
Structure: DFT lattice parameters and positions (PBE)

Principal peaks in the range 10 to 90 degrees two-theta, in order of rising 2θ:
hkl 0 0 4, 2θ 26.7, rel. 56; hkl 1 1 0, 2θ 27.2, rel. 46; hkl 1 1 2, 2θ 28.4, rel. 41; hkl -1 1 1, 2θ 28.5, rel. 35; hkl 0 1 4, 2θ 30.1, rel. 73; hkl 0 2 0, 2θ 31.2, rel. 100; hkl 0 1 -4, 2θ 31.9, rel. 36; hkl 1 1 -2, 2θ 32.3, rel. 49; hkl 1 -1 3, 2θ 32.5, rel. 34; hkl 2 0 1, 2θ 44.8, rel. 76

Crystal structure
```
data_Sr4Nb3PO14
_symmetry_space_group_name_H-M 'P 1'
_symmetry_Int_Tables_number 1
_symmetry_space_group_name_Hall 'P 1'
_cell_length_a 4.050
_cell_length_b 5.737
_cell_length_c 13.550
_cell_angle_alpha 86.20
_cell_angle_beta 81.48
_cell_angle_gamma 89.57
loop_
_atom_site_label
_atom_site_fract_x
_atom_site_fract_y
_atom_site_fract_z
Sr1 0.000 0.000 0.000
Sr2 0.063 0.484 0.822
Sr3 0.230 0.082 0.483
Sr4 0.819 0.580 0.305
Nb1 0.363 0.054 0.218
Nb2 0.586 0.971 0.774
Nb3 0.683 0.533 0.577
P1 0.531 0.540 0.040
O1 0.070 0.934 0.799
O2 0.173 0.501 0.596
O3 0.304 0.830 0.326
O4 0.326 0.308 0.295
O5 0.404 0.283 0.080
O6 0.413 0.727 0.118
O7 0.463 0.650 0.936
O8 0.527 0.167 0.884
O9 0.608 0.648 0.726
O10 0.639 0.174 0.663
O11 0.719 0.816 0.503
O12 0.738 0.342 0.465
O13 0.871 0.021 0.195
O14 0.910 0.513 0.026
```